Diffraction record for Co2Ge3Se3. The X-ray diffraction stick pattern is theoretical, not measured: it uses a GGA-PBE-relaxed structure and Cu Kα, 1.54184 Å.
Neutral-atom scattering factors, no anomalous dispersion.

The 10 most intense peaks (2θ from 10° to 90°), sorted by position:
15.01 deg, 5.902 Å, intensity 9
21.29 deg, 4.174 Å, intensity 12
26.15 deg, 3.408 Å, intensity 11
33.96 deg, 2.640 Å, intensity 100
40.43 deg, 2.231 Å, intensity 34
48.79 deg, 1.866 Å, intensity 36
53.80 deg, 1.704 Å, intensity 22
56.19 deg, 1.637 Å, intensity 25
65.17 deg, 1.432 Å, intensity 18
77.57 deg, 1.231 Å, intensity 14

Cell and atoms:
```
data_Co2Ge3Se3
_chemical_formula_sum 'Co8 Ge12 Se12'
_space_group_name_H-M_alt 'P 1'
_space_group_IT_number 1
_space_group_name_Hall 'P 1'
_cell_length_a 8.3472
_cell_length_b 8.3472
_cell_length_c 8.3472
_cell_angle_alpha 89.95
_cell_angle_beta 89.95
_cell_angle_gamma 89.95
loop_
_atom_site_label
_atom_site_fract_x
_atom_site_fract_y
_atom_site_fract_z
Co1 0.0000 0.0000 0.0000
Co2 0.0027 0.5015 0.5017
Co3 0.4965 0.9979 0.9979
Co4 0.4993 0.4993 0.4993
Co5 0.5015 0.5017 0.0027
Co6 0.5017 0.0027 0.5015
Co7 0.9979 0.4965 0.9979
Co8 0.9979 0.9979 0.4965
Ge1 0.0769 0.9076 0.7469
Ge2 0.0916 0.2489 0.5780
Ge3 0.2489 0.5780 0.0916
Ge4 0.2507 0.9220 0.4074
Ge5 0.4074 0.2507 0.9220
Ge6 0.4219 0.5929 0.7523
Ge7 0.5780 0.0916 0.2489
Ge8 0.5929 0.7523 0.4219
Ge9 0.7469 0.0769 0.9076
Ge10 0.7523 0.4219 0.5929
Ge11 0.9076 0.7469 0.0769
Ge12 0.9220 0.4074 0.2507
Se1 0.0945 0.6009 0.7503
Se2 0.1009 0.2460 0.9039
Se3 0.2460 0.9039 0.1009
Se4 0.2536 0.5955 0.3983
Se5 0.3983 0.2536 0.5955
Se6 0.4040 0.8991 0.7489
Se7 0.5955 0.3983 0.2536
Se8 0.6009 0.7503 0.0945
Se9 0.7489 0.4040 0.8991
Se10 0.7503 0.0945 0.6009
Se11 0.8991 0.7489 0.4040
Se12 0.9039 0.1009 0.2460
```

***

Diffraction record for B8W10C3. The X-ray diffraction stick pattern is theoretical, not measured: it uses a GGA-PBE-relaxed structure and Cu Kα, 1.54184 Å.
Neutral-atom scattering factors, no anomalous dispersion.

The 10 most intense peaks (2θ from 10° to 90°), sorted by position:
22.32 deg, 3.983 Å, intensity 18
33.65 deg, 2.664 Å, intensity 28
33.97 deg, 2.639 Å, intensity 47
40.75 deg, 2.214 Å, intensity 100
44.54 deg, 2.034 Å, intensity 26
45.54 deg, 1.992 Å, intensity 22
57.80 deg, 1.595 Å, intensity 13
65.60 deg, 1.423 Å, intensity 17
70.93 deg, 1.329 Å, intensity 19
80.90 deg, 1.188 Å, intensity 14

Cell and atoms:
```
data_B8W10C3
_chemical_formula_sum 'B8 W10 C3'
_space_group_name_H-M_alt 'P 1'
_space_group_IT_number 1
_space_group_name_Hall 'P 1'
_cell_length_a 8.1372
_cell_length_b 8.1372
_cell_length_c 3.9833
_cell_angle_alpha 90.00
_cell_angle_beta 90.00
_cell_angle_gamma 120.00
loop_
_atom_site_label
_atom_site_fract_x
_atom_site_fract_y
_atom_site_fract_z
B1 0.0000 0.2130 0.0000
B2 0.0000 0.7870 0.0000
B3 0.2130 0.0000 0.0000
B4 0.2130 0.2130 0.0000
B5 0.3333 0.6667 0.0000
B6 0.6667 0.3333 0.0000
B7 0.7870 0.0000 0.0000
B8 0.7870 0.7870 0.0000
W1 0.0000 0.0000 0.5000
W2 0.0000 0.5000 0.0000
W3 0.2067 0.4135 0.5000
W4 0.2067 0.7933 0.5000
W5 0.4135 0.2067 0.5000
W6 0.5000 0.0000 0.0000
W7 0.5000 0.5000 0.0000
W8 0.5865 0.7933 0.5000
W9 0.7933 0.2067 0.5000
W10 0.7933 0.5865 0.5000
C1 0.0000 0.5000 0.5000
C2 0.5000 0.0000 0.5000
C3 0.5000 0.5000 0.5000
```

***

Diffraction record for GdPbNO. The X-ray diffraction stick pattern is theoretical, not measured: it uses a GGA-PBE-relaxed structure and Cu Kα, 1.54184 Å.
Neutral-atom scattering factors, no anomalous dispersion.

The 10 most intense peaks (2θ from 10° to 90°), sorted by position:
27.32 deg, 3.264 Å, intensity 50
28.54 deg, 3.128 Å, intensity 100
29.28 deg, 3.050 Å, intensity 50
31.07 deg, 2.878 Å, intensity 91
40.47 deg, 2.229 Å, intensity 36
44.82 deg, 2.022 Å, intensity 23
51.47 deg, 1.776 Å, intensity 20
53.06 deg, 1.726 Å, intensity 27
54.44 deg, 1.685 Å, intensity 27
58.56 deg, 1.576 Å, intensity 33

Cell and atoms:
```
data_GdPbNO
_chemical_formula_sum 'Gd2 Pb2 N2 O2'
_space_group_name_H-M_alt 'P 1'
_space_group_IT_number 1
_space_group_name_Hall 'P 1'
_cell_length_a 3.6514
_cell_length_b 7.2855
_cell_length_c 6.1004
_cell_angle_alpha 90.00
_cell_angle_beta 90.00
_cell_angle_gamma 90.00
loop_
_atom_site_label
_atom_site_fract_x
_atom_site_fract_y
_atom_site_fract_z
Gd1 0.0000 0.1233 0.0000
Gd2 0.0000 0.8767 0.5000
Pb1 0.5000 0.3477 0.4921
Pb2 0.5000 0.6523 0.9921
N1 0.0000 0.1735 0.3758
N2 0.0000 0.8265 0.8758
O1 0.5000 0.2058 0.8378
O2 0.5000 0.7942 0.3378
```

***

Diffraction record for Lu4AlPbN2. The X-ray diffraction stick pattern is theoretical, not measured: it uses a GGA-PBE-relaxed structure and Cu Kα, 1.54184 Å.
Neutral-atom scattering factors, no anomalous dispersion.

The 10 most intense peaks (2θ from 10° to 90°), sorted by position:
30.10 deg, 2.969 Å, intensity 25
35.12 deg, 2.555 Å, intensity 100
35.81 deg, 2.508 Å, intensity 19
47.46 deg, 1.916 Å, intensity 17
53.45 deg, 1.714 Å, intensity 21
63.90 deg, 1.457 Å, intensity 18
65.58 deg, 1.424 Å, intensity 17
66.01 deg, 1.415 Å, intensity 20
87.97 deg, 1.110 Å, intensity 8
89.48 deg, 1.095 Å, intensity 15

Cell and atoms:
```
data_Lu4AlPbN2
_chemical_formula_sum 'Lu4 Al1 Pb1 N2'
_space_group_name_H-M_alt 'P 1'
_space_group_IT_number 1
_space_group_name_Hall 'P 1'
_cell_length_a 3.4286
_cell_length_b 3.4286
_cell_length_c 15.0459
_cell_angle_alpha 90.00
_cell_angle_beta 90.00
_cell_angle_gamma 120.00
loop_
_atom_site_label
_atom_site_fract_x
_atom_site_fract_y
_atom_site_fract_z
Lu1 0.0000 0.0000 0.1590
Lu2 0.0000 0.0000 0.8410
Lu3 0.6667 0.3333 0.3301
Lu4 0.6667 0.3333 0.6699
Al1 0.6667 0.3333 0.0000
Pb1 0.0000 0.0000 0.5000
N1 0.3333 0.6667 0.2489
N2 0.3333 0.6667 0.7511
```

***

Diffraction record for Co11Re4. The X-ray diffraction stick pattern is theoretical, not measured: it uses a GGA-PBE-relaxed structure and Cu Kα, 1.54184 Å.
Neutral-atom scattering factors, no anomalous dispersion.

The 10 most intense peaks (2θ from 10° to 90°), sorted by position:
20.54 deg, 4.325 Å, intensity 27
22.99 deg, 3.868 Å, intensity 43
43.13 deg, 2.097 Å, intensity 100
44.45 deg, 2.038 Å, intensity 89
47.30 deg, 1.922 Å, intensity 19
48.23 deg, 1.887 Å, intensity 11
50.63 deg, 1.803 Å, intensity 14
75.34 deg, 1.261 Å, intensity 16
78.14 deg, 1.223 Å, intensity 12
80.92 deg, 1.188 Å, intensity 14

Cell and atoms:
```
data_Co11Re4
_chemical_formula_sum 'Co22 Re8'
_space_group_name_H-M_alt 'P 1'
_space_group_IT_number 1
_space_group_name_Hall 'P 1'
_cell_length_a 8.6494
_cell_length_b 8.6494
_cell_length_c 4.7952
_cell_angle_alpha 90.00
_cell_angle_beta 90.00
_cell_angle_gamma 90.00
loop_
_atom_site_label
_atom_site_fract_x
_atom_site_fract_y
_atom_site_fract_z
Co1 0.0000 0.0000 0.0000
Co2 0.0385 0.3662 0.5000
Co3 0.0645 0.2647 0.0000
Co4 0.0973 0.0973 0.5000
Co5 0.1338 0.5385 0.0000
Co6 0.2353 0.5645 0.5000
Co7 0.2647 0.0645 0.0000
Co8 0.3662 0.0385 0.5000
Co9 0.4027 0.5973 0.0000
Co10 0.4355 0.7647 0.5000
Co11 0.4615 0.8662 0.0000
Co12 0.5000 0.5000 0.5000
Co13 0.5385 0.1338 0.0000
Co14 0.5645 0.2353 0.5000
Co15 0.5973 0.4027 0.0000
Co16 0.6338 0.9615 0.5000
Co17 0.7353 0.9355 0.0000
Co18 0.7647 0.4355 0.5000
Co19 0.8662 0.4615 0.0000
Co20 0.9027 0.9027 0.5000
Co21 0.9355 0.7353 0.0000
Co22 0.9615 0.6338 0.5000
Re1 0.1839 0.8161 0.2505
Re2 0.1839 0.8161 0.7495
Re3 0.3161 0.3161 0.2495
Re4 0.3161 0.3161 0.7505
Re5 0.6839 0.6839 0.2495
Re6 0.6839 0.6839 0.7505
Re7 0.8161 0.1839 0.2505
Re8 0.8161 0.1839 0.7495
```

***

Diffraction record for CsLiTe3Pd. The X-ray diffraction stick pattern is theoretical, not measured: it uses a GGA-PBE-relaxed structure and Cu Kα, 1.54184 Å.
Neutral-atom scattering factors, no anomalous dispersion.

The 10 most intense peaks (2θ from 10° to 90°), sorted by position:
10.56 deg, 8.378 Å, intensity 51
19.52 deg, 4.548 Å, intensity 71
26.87 deg, 3.319 Å, intensity 82
27.64 deg, 3.227 Å, intensity 52
28.07 deg, 3.179 Å, intensity 100
31.57 deg, 2.834 Å, intensity 39
33.08 deg, 2.708 Å, intensity 71
34.43 deg, 2.605 Å, intensity 40
38.35 deg, 2.347 Å, intensity 77
50.27 deg, 1.815 Å, intensity 38

Cell and atoms:
```
data_CsLiTe3Pd
_chemical_formula_sum 'Cs2 Li2 Te6 Pd2'
_space_group_name_H-M_alt 'P 1'
_space_group_IT_number 1
_space_group_name_Hall 'P 1'
_cell_length_a 8.6301
_cell_length_b 8.6301
_cell_length_c 10.8312
_cell_angle_alpha 90.00
_cell_angle_beta 90.00
_cell_angle_gamma 152.25
loop_
_atom_site_label
_atom_site_fract_x
_atom_site_fract_y
_atom_site_fract_z
Cs1 0.2388 0.7612 0.7500
Cs2 0.7612 0.2388 0.2500
Li1 0.4664 0.5336 0.2500
Li2 0.5336 0.4664 0.7500
Te1 0.0692 0.9308 0.2500
Te2 0.3951 0.6049 0.0206
Te3 0.3951 0.6049 0.4794
Te4 0.6049 0.3951 0.5206
Te5 0.6049 0.3951 0.9794
Te6 0.9308 0.0692 0.7500
Pd1 0.0000 0.0000 0.0000
Pd2 0.0000 0.0000 0.5000
```

***

Diffraction record for DyNbAg2Te4. The X-ray diffraction stick pattern is theoretical, not measured: it uses a GGA-PBE-relaxed structure and Cu Kα, 1.54184 Å.
Neutral-atom scattering factors, no anomalous dispersion.

The 10 most intense peaks (2θ from 10° to 90°), sorted by position:
26.57 deg, 3.354 Å, intensity 100
28.99 deg, 3.081 Å, intensity 32
32.41 deg, 2.763 Å, intensity 52
35.00 deg, 2.564 Å, intensity 64
36.89 deg, 2.437 Å, intensity 62
43.32 deg, 2.089 Å, intensity 36
44.02 deg, 2.057 Å, intensity 48
46.05 deg, 1.971 Å, intensity 15
63.68 deg, 1.461 Å, intensity 17
70.92 deg, 1.329 Å, intensity 15

Cell and atoms:
```
data_DyNbAg2Te4
_chemical_formula_sum 'Dy1 Nb1 Ag2 Te4'
_space_group_name_H-M_alt 'P 1'
_space_group_IT_number 1
_space_group_name_Hall 'P 1'
_cell_length_a 6.8907
_cell_length_b 6.8907
_cell_length_c 4.6239
_cell_angle_alpha 90.00
_cell_angle_beta 90.00
_cell_angle_gamma 90.10
loop_
_atom_site_label
_atom_site_fract_x
_atom_site_fract_y
_atom_site_fract_z
Dy1 0.0000 0.0000 0.0000
Nb1 0.5000 0.5000 0.3999
Ag1 0.0000 0.5000 0.1905
Ag2 0.5000 0.0000 0.1905
Te1 0.2090 0.7910 0.4964
Te2 0.3139 0.3139 0.9069
Te3 0.6861 0.6861 0.9069
Te4 0.7910 0.2090 0.4964
```

***

Diffraction record for Tl2Ni3S4. The X-ray diffraction stick pattern is theoretical, not measured: it uses a GGA-PBE-relaxed structure and Cu Kα, 1.54184 Å.
Neutral-atom scattering factors, no anomalous dispersion.

The 10 most intense peaks (2θ from 10° to 90°), sorted by position:
18.02 deg, 4.923 Å, intensity 72
24.73 deg, 3.601 Å, intensity 88
27.20 deg, 3.278 Å, intensity 100
30.04 deg, 2.975 Å, intensity 72
30.94 deg, 2.891 Å, intensity 71
35.40 deg, 2.535 Å, intensity 43
35.81 deg, 2.508 Å, intensity 80
37.48 deg, 2.400 Å, intensity 67
39.43 deg, 2.285 Å, intensity 66
56.29 deg, 1.634 Å, intensity 50

Cell and atoms:
```
data_Tl2Ni3S4
_chemical_formula_sum 'Tl4 Ni6 S8'
_space_group_name_H-M_alt 'P 1'
_space_group_IT_number 1
_space_group_name_Hall 'P 1'
_cell_length_a 13.8817
_cell_length_b 13.2494
_cell_length_c 5.8178
_cell_angle_alpha 83.78
_cell_angle_beta 71.59
_cell_angle_gamma 24.62
loop_
_atom_site_label
_atom_site_fract_x
_atom_site_fract_y
_atom_site_fract_z
Tl1 0.0486 0.0486 0.2014
Tl2 0.2014 0.2014 0.0486
Tl3 0.7986 0.7986 0.9514
Tl4 0.9514 0.9514 0.7986
Ni1 0.1254 0.1254 0.6246
Ni2 0.3750 0.3750 0.3750
Ni3 0.3754 0.3754 0.8746
Ni4 0.6246 0.6246 0.1254
Ni5 0.6250 0.6250 0.6250
Ni6 0.8746 0.8746 0.3754
S1 0.1554 0.4830 0.2621
S2 0.2621 0.5996 0.1554
S3 0.4004 0.7379 0.5170
S4 0.4830 0.1554 0.5996
S5 0.5170 0.8446 0.4004
S6 0.5996 0.2621 0.4830
S7 0.7379 0.4004 0.8446
S8 0.8446 0.5170 0.7379
```

***

Diffraction record for LiLaTaIr. The X-ray diffraction stick pattern is theoretical, not measured: it uses a GGA-PBE-relaxed structure and Cu Kα, 1.54184 Å.
Neutral-atom scattering factors, no anomalous dispersion.

The 10 most intense peaks (2θ from 10° to 90°), sorted by position:
22.65 deg, 3.925 Å, intensity 33
26.22 deg, 3.399 Å, intensity 7
37.41 deg, 2.404 Å, intensity 100
44.18 deg, 2.050 Å, intensity 17
53.95 deg, 1.700 Å, intensity 18
59.24 deg, 1.560 Å, intensity 7
67.49 deg, 1.388 Å, intensity 36
72.20 deg, 1.308 Å, intensity 6
79.80 deg, 1.202 Å, intensity 11
84.26 deg, 1.149 Å, intensity 6

Cell and atoms:
```
data_LiLaTaIr
_chemical_formula_sum 'Li1 La1 Ta1 Ir1'
_space_group_name_H-M_alt 'P 1'
_space_group_IT_number 1
_space_group_name_Hall 'P 1'
_cell_length_a 4.8074
_cell_length_b 4.8074
_cell_length_c 4.8074
_cell_angle_alpha 60.00
_cell_angle_beta 60.00
_cell_angle_gamma 60.00
loop_
_atom_site_label
_atom_site_fract_x
_atom_site_fract_y
_atom_site_fract_z
Li1 0.0000 0.0000 0.0000
La1 0.2500 0.2500 0.2500
Ta1 0.7500 0.7500 0.7500
Ir1 0.5000 0.5000 0.5000
```

***

Diffraction record for Ta7Ni8. The X-ray diffraction stick pattern is theoretical, not measured: it uses a GGA-PBE-relaxed structure and Cu Kα, 1.54184 Å.
Neutral-atom scattering factors, no anomalous dispersion.

The 10 most intense peaks (2θ from 10° to 90°), sorted by position:
21.00 deg, 4.230 Å, intensity 28
32.53 deg, 2.752 Å, intensity 29
33.92 deg, 2.643 Å, intensity 34
37.10 deg, 2.423 Å, intensity 43
39.27 deg, 2.294 Å, intensity 65
40.46 deg, 2.229 Å, intensity 28
43.01 deg, 2.103 Å, intensity 55
43.65 deg, 2.073 Å, intensity 100
44.75 deg, 2.025 Å, intensity 56
71.41 deg, 1.321 Å, intensity 28

Cell and atoms:
```
data_Ta7Ni8
_chemical_formula_sum 'Ta14 Ni16'
_space_group_name_H-M_alt 'P 1'
_space_group_IT_number 1
_space_group_name_Hall 'P 1'
_cell_length_a 9.4583
_cell_length_b 9.4583
_cell_length_c 4.8469
_cell_angle_alpha 90.00
_cell_angle_beta 90.00
_cell_angle_gamma 90.00
loop_
_atom_site_label
_atom_site_fract_x
_atom_site_fract_y
_atom_site_fract_z
Ta1 0.0000 0.0000 0.0000
Ta2 0.0643 0.2822 0.0000
Ta3 0.1110 0.1110 0.5000
Ta4 0.2178 0.5643 0.5000
Ta5 0.2822 0.0643 0.0000
Ta6 0.3890 0.6110 0.0000
Ta7 0.4357 0.7822 0.5000
Ta8 0.5000 0.5000 0.5000
Ta9 0.5643 0.2178 0.5000
Ta10 0.6110 0.3890 0.0000
Ta11 0.7178 0.9357 0.0000
Ta12 0.7822 0.4357 0.5000
Ta13 0.8890 0.8890 0.5000
Ta14 0.9357 0.7178 0.0000
Ni1 0.0364 0.3723 0.5000
Ni2 0.1277 0.5364 0.0000
Ni3 0.1785 0.8215 0.2535
Ni4 0.1785 0.8215 0.7465
Ni5 0.3215 0.3215 0.2465
Ni6 0.3215 0.3215 0.7535
Ni7 0.3723 0.0364 0.5000
Ni8 0.4636 0.8723 0.0000
Ni9 0.5364 0.1277 0.0000
Ni10 0.6277 0.9636 0.5000
Ni11 0.6785 0.6785 0.2465
Ni12 0.6785 0.6785 0.7535
Ni13 0.8215 0.1785 0.2535
Ni14 0.8215 0.1785 0.7465
Ni15 0.8723 0.4636 0.0000
Ni16 0.9636 0.6277 0.5000
```